Record 1
Starting from the GGA-PBE geometry in Alexandria, the XRD peak list of Pm3In4 was computed for Cu Ka.
Intensities are scaled so that the largest is 100.

Top 10 peaks for 2θ from 5° to 70°, by angle:
| 2θ/deg | I_rel |
| --- | --- |
| 31.89 | 100 |
| 32.57 | 96 |
| 35.93 | 72 |
| 40.17 | 27 |
| 50.79 | 13 |
| 52.64 | 12 |
| 54.98 | 42 |
| 61.65 | 28 |
| 62.88 | 28 |
| 68.22 | 22 |

Cell and atoms:
Lattice parameters (Å, degrees): 12.8990 12.8990 12.8990 164.51 159.95 25.43
Atoms (fractional coordinates):
Pm: 0.0000 0.0000 0.0000
Pm: 0.1423 0.1423 0.0000
Pm: 0.8577 0.8577 0.0000
In: 0.2808 0.2808 0.0000
In: 0.4314 0.4314 0.0000
In: 0.5686 0.5686 0.0000
In: 0.7192 0.7192 0.0000

***

Record 2
Starting from the GGA-PBE geometry in Alexandria, the XRD peak list of Ca2CdPb was computed for Cu Ka.
Intensities are scaled so that the largest is 100.

Top 10 peaks for 2θ from 5° to 70°, by angle:
| 2θ/deg | I_rel |
| --- | --- |
| 16.03 | 12 |
| 22.75 | 40 |
| 23.25 | 19 |
| 32.39 | 52 |
| 32.76 | 100 |
| 40.25 | 20 |
| 46.46 | 19 |
| 58.00 | 38 |
| 58.70 | 18 |
| 68.66 | 11 |

Cell and atoms:
Lattice parameters (Å, degrees): 5.5287 5.5287 3.8252 90.00 90.00 90.05
Atoms (fractional coordinates):
Ca: 0.0000 0.5000 0.0000
Ca: 0.5000 0.0000 0.0000
Cd: 0.0000 0.0000 0.5000
Pb: 0.5000 0.5000 0.5000

***

Record 3
Starting from the GGA-PBE geometry in Alexandria, the XRD peak list of Sr2Li12CaAg3 was computed for Cu Ka.
Intensities are scaled so that the largest is 100.

Top 10 peaks for 2θ from 5° to 70°, by angle:
| 2θ/deg | I_rel |
| --- | --- |
| 11.38 | 64 |
| 19.19 | 28 |
| 22.37 | 49 |
| 23.29 | 34 |
| 23.73 | 100 |
| 24.65 | 84 |
| 30.74 | 28 |
| 36.76 | 32 |
| 41.16 | 36 |
| 45.65 | 26 |

Cell and atoms:
Lattice parameters (Å, degrees): 9.2777 9.2777 9.2777 56.43 56.43 56.43
Atoms (fractional coordinates):
Sr: 0.0909 0.0909 0.0909
Sr: 0.9091 0.9091 0.9091
Li: 0.0187 0.6554 0.6554
Li: 0.2555 0.2555 0.6216
Li: 0.2555 0.6216 0.2555
Li: 0.3446 0.3446 0.9813
Li: 0.3446 0.9813 0.3446
Li: 0.3784 0.7445 0.7445
Li: 0.6216 0.2555 0.2555
Li: 0.6554 0.0187 0.6554
Li: 0.6554 0.6554 0.0187
Li: 0.7445 0.3784 0.7445
Li: 0.7445 0.7445 0.3784
Li: 0.9813 0.3446 0.3446
Ca: 0.5000 0.5000 0.5000
Ag: 0.0000 0.5000 0.5000
Ag: 0.5000 0.0000 0.5000
Ag: 0.5000 0.5000 0.0000

***

Record 4
Starting from the GGA-PBE geometry in Alexandria, the XRD peak list of Tl8Hg3Pb was computed for Cu Ka.
Intensities are scaled so that the largest is 100.

Top 10 peaks for 2θ from 5° to 70°, by angle:
| 2θ/deg | I_rel |
| --- | --- |
| 27.57 | 11 |
| 31.31 | 100 |
| 31.79 | 48 |
| 39.00 | 28 |
| 42.20 | 22 |
| 50.84 | 26 |
| 55.73 | 20 |
| 65.33 | 12 |
| 65.60 | 13 |
| 66.42 | 23 |

Cell and atoms:
Lattice parameters (Å, degrees): 7.3480 7.3480 7.3480 102.08 102.08 102.08
Atoms (fractional coordinates):
Tl: 0.1658 0.1658 0.1658
Tl: 0.1776 0.1776 0.6669
Tl: 0.1776 0.6669 0.1776
Tl: 0.3331 0.8224 0.8224
Tl: 0.6669 0.1776 0.1776
Tl: 0.8224 0.3331 0.8224
Tl: 0.8224 0.8224 0.3331
Tl: 0.8342 0.8342 0.8342
Hg: 0.0000 0.5000 0.5000
Hg: 0.5000 0.0000 0.5000
Hg: 0.5000 0.5000 0.0000
Pb: 0.5000 0.5000 0.5000

***

Record 5
Starting from the GGA-PBE geometry in Alexandria, the XRD peak list of HBr3Cl was computed for Cu Ka.
Intensities are scaled so that the largest is 100.

Top 10 peaks for 2θ from 5° to 70°, by angle:
| 2θ/deg | I_rel |
| --- | --- |
| 8.74 | 52 |
| 17.53 | 100 |
| 19.26 | 70 |
| 20.45 | 39 |
| 26.42 | 25 |
| 29.62 | 70 |
| 33.43 | 20 |
| 39.06 | 23 |
| 41.59 | 33 |
| 45.46 | 43 |

Cell and atoms:
Lattice parameters (Å, degrees): 7.9787 10.1202 5.1774 90.00 90.00 90.00
Atoms (fractional coordinates):
H: 0.0000 0.0043 0.0000
H: 0.5000 0.9957 0.5000
Br: 0.0000 0.3342 0.5349
Br: 0.2471 0.7125 0.7572
Br: 0.2529 0.2875 0.2572
Br: 0.5000 0.6658 0.0349
Br: 0.7471 0.2875 0.2572
Br: 0.7529 0.7125 0.7572
Cl: 0.0000 0.7584 0.4911
Cl: 0.5000 0.2416 0.9911

***

Record 6
Starting from the GGA-PBE geometry in Alexandria, the XRD peak list of SbAu5 was computed for Cu Ka.
Intensities are scaled so that the largest is 100.

Top 10 peaks for 2θ from 5° to 70°, by angle:
| 2θ/deg | I_rel |
| --- | --- |
| 33.44 | 17 |
| 36.09 | 14 |
| 36.65 | 35 |
| 38.28 | 100 |
| 40.66 | 32 |
| 50.45 | 11 |
| 52.39 | 10 |
| 58.01 | 9 |
| 63.22 | 14 |
| 67.07 | 20 |

Cell and atoms:
Lattice parameters (Å, degrees): 4.9034 7.6332 7.6332 24.04 90.00 90.00
Atoms (fractional coordinates):
Sb: 0.0000 0.0000 0.0000
Au: 0.0000 0.3295 0.3295
Au: 0.0000 0.6697 0.6697
Au: 0.5000 0.1211 0.1211
Au: 0.5000 0.4495 0.4495
Au: 0.5000 0.7841 0.7841

***

Record 7
Starting from the GGA-PBE geometry in Alexandria, the XRD peak list of K2H2SeCl2 was computed for Cu Ka.
Intensities are scaled so that the largest is 100.

Top 10 peaks for 2θ from 5° to 70°, by angle:
| 2θ/deg | I_rel |
| --- | --- |
| 11.31 | 45 |
| 21.04 | 50 |
| 22.94 | 38 |
| 23.97 | 66 |
| 29.84 | 77 |
| 30.03 | 100 |
| 30.94 | 70 |
| 31.08 | 69 |
| 37.81 | 85 |
| 37.97 | 43 |

Cell and atoms:
Lattice parameters (Å, degrees): 4.9175 4.9448 7.9132 83.10 82.91 74.24
Atoms (fractional coordinates):
K: 0.1731 0.1738 0.2744
K: 0.8269 0.8262 0.7256
H: 0.3440 0.3442 0.6831
H: 0.6560 0.6558 0.3169
Se: 0.5000 0.5000 0.5000
Cl: 0.2032 0.2045 0.8458
Cl: 0.7968 0.7955 0.1542

***

Record 8
Starting from the GGA-PBE geometry in Alexandria, the XRD peak list of Ho5Pb2C was computed for Cu Ka.
Intensities are scaled so that the largest is 100.

Top 10 peaks for 2θ from 5° to 70°, by angle:
| 2θ/deg | I_rel |
| --- | --- |
| 10.81 | 15 |
| 18.92 | 56 |
| 28.22 | 22 |
| 28.46 | 38 |
| 30.44 | 17 |
| 32.90 | 100 |
| 34.19 | 39 |
| 35.89 | 17 |
| 36.71 | 35 |
| 43.87 | 38 |

Cell and atoms:
Lattice parameters (Å, degrees): 8.5427 8.5427 12.6507 90.00 90.00 146.70
Atoms (fractional coordinates):
Ho: 0.0931 0.9069 0.6151
Ho: 0.0931 0.9069 0.8849
Ho: 0.2871 0.7129 0.2500
Ho: 0.2917 0.7083 0.5793
Ho: 0.2917 0.7083 0.9207
Ho: 0.7083 0.2917 0.0793
Ho: 0.7083 0.2917 0.4207
Ho: 0.7129 0.2871 0.7500
Ho: 0.9069 0.0931 0.1151
Ho: 0.9069 0.0931 0.3849
Pb: 0.1007 0.8993 0.1297
Pb: 0.1007 0.8993 0.3703
Pb: 0.8993 0.1007 0.6297
Pb: 0.8993 0.1007 0.8703
C: 0.1891 0.8109 0.7500
C: 0.8109 0.1891 0.2500